Calculated powder diffractogram
Compound: ThB2Ir3
Radiation: Cu Kα
Structure: a DFT-relaxed cell (GGA-PBE, the Materials Project)

Largest 12 diffraction maxima, by intensity, 2θ = 10–80°:
(2 0 0), 2θ 37.84, I = 1000
(1 0 1), 2θ 33.41, I = 743
(1 1 1), 2θ 43.15, I = 415
(2 0 2), 2θ 70.19, I = 338
(2 1 1), 2θ 58.72, I = 308
(2 0 1), 2θ 47.39, I = 213
(2 2 0), 2θ 68.34, I = 191
(3 1 1), 2θ 78.24, I = 136
(0 0 1), 2θ 27.46, I = 134
(3 0 1), 2θ 65.53, I = 122
(0 0 2), 2θ 56.69, I = 111
(2 2 1), 2θ 75.14, I = 49

Structural model:
Unit cell a=5.4904 b=5.4904 c=3.2477 alpha=90.00 beta=90.00 gamma=120.00
Space group P6/mmm (No. 191)
Symmetry-distinct sites (fractional):
Th1 0.0000 0.0000 0.0000
B1 0.3333 0.6667 0.0000
Ir1 0.0000 0.5000 0.5000

Calculated powder diffractogram
Compound: B20Ir4W5
Radiation: Cu Kα
Structure: a DFT-relaxed cell (GGA-PBE, the Materials Project)

Largest 12 diffraction maxima, by intensity, 2θ = 10–80°:
(1 0 5), 2θ 37.08, I = 1000
(0 0 10), 2θ 23.73, I = 592
(1 0 15), 2θ 51.04, I = 477
(1 0 0), 2θ 35.03, I = 271
(1 1 10), 2θ 68.15, I = 212
(1 0 10), 2θ 42.74, I = 207
(1 1 0), 2θ 62.82, I = 182
(2 0 5), 2θ 75.25, I = 131
(1 0 25), 2θ 73.11, I = 129
(0 0 20), 2θ 48.56, I = 118
(1 0 20), 2θ 61.26, I = 91
(2 0 10), 2θ 78.98, I = 36

Structural model:
Unit cell a=2.9584 b=2.9584 c=37.4978 alpha=90.00 beta=90.00 gamma=120.00
Space group P-6m2 (No. 187)
Symmetry-distinct sites (fractional):
B1 0.0000 0.0000 0.0412
B2 0.0000 0.0000 0.1589
B3 0.0000 0.0000 0.2410
B4 0.0000 0.0000 0.3586
B5 0.0000 0.0000 0.4447
B6 0.6667 0.3333 0.0591
B7 0.6667 0.3333 0.1405
B8 0.6667 0.3333 0.2595
B9 0.6667 0.3333 0.3414
B10 0.6667 0.3333 0.4567
Ir1 0.0000 0.0000 0.1001
Ir2 0.0000 0.0000 0.2996
W1 0.6667 0.3333 0.0000
W2 0.6667 0.3333 0.2000
W3 0.6667 0.3333 0.3999

Calculated powder diffractogram
Compound: B5Ir3W2
Radiation: Cu Kα
Structure: a DFT-relaxed cell (GGA-PBE, the Materials Project)

Largest 12 diffraction maxima, by intensity, 2θ = 10–80°:
(1 4 1), 2θ 43.18, I = 1000
(0 0 2), 2θ 38.11, I = 600
(0 5 1), 2θ 34.11, I = 552
(1 0 1), 2θ 36.37, I = 446
(0 7 1), 2θ 44.44, I = 431
(0 2 0), 2θ 11.19, I = 366
(1 3 0), 2θ 35.34, I = 287
(0 4 0), 2θ 22.48, I = 268
(1 4 3), 2θ 72.35, I = 228
(1 3 2), 2θ 52.94, I = 219
(1 1 0), 2θ 31.38, I = 178
(1 9 2), 2θ 74.89, I = 148

Structural model:
Unit cell a=2.898 b=15.817 c=4.725 alpha=90.00 beta=90.00 gamma=90.00
Space group Imm2 (No. 44)
Symmetry-distinct sites (fractional):
B1 0.000 0.000 0.000
B2 0.000 0.278 0.454
B3 0.000 0.279 0.854
Ir1 0.000 0.405 0.654
Ir2 0.000 0.500 0.155
W1 0.000 0.152 0.654

Calculated powder diffractogram
Compound: YB2Ir3
Radiation: Cu Kα
Structure: a DFT-relaxed cell (GGA-PBE, the Materials Project)

Largest 12 diffraction maxima, by intensity, 2θ = 10–80°:
(2 0 0), 2θ 37.91, I = 1000
(2 0 1), 2θ 48.00, I = 575
(1 0 1), 2θ 34.17, I = 462
(0 0 1), 2θ 28.35, I = 354
(2 0 2), 2θ 71.98, I = 311
(1 1 1), 2θ 43.79, I = 273
(2 1 1), 2θ 59.28, I = 192
(2 2 0), 2θ 68.46, I = 190
(1 0 0), 2θ 18.69, I = 154
(2 2 1), 2θ 75.69, I = 142
(0 0 2), 2θ 58.64, I = 101
(3 1 1), 2θ 78.79, I = 84

Structural model:
Unit cell a=5.4817 b=5.4817 c=3.1485 alpha=90.00 beta=90.00 gamma=120.00
Space group P6/mmm (No. 191)
Symmetry-distinct sites (fractional):
Y1 0.0000 0.0000 0.0000
B1 0.3333 0.6667 0.0000
Ir1 0.0000 0.5000 0.5000

Calculated powder diffractogram
Compound: YB4Ir4
Radiation: Cu Kα
Structure: a DFT-relaxed cell (GGA-PBE, the Materials Project)

Largest 12 diffraction maxima, by intensity, 2θ = 10–80°:
(2 1 1), 2θ 34.54, I = 1000
(1 3 0), 2θ 37.22, I = 594
(1 1 0), 2θ 16.41, I = 381
(2 2 1), 2θ 40.30, I = 305
(1 0 2), 2θ 47.00, I = 266
(1 1 1), 2θ 27.76, I = 262
(3 0 2), 2θ 58.74, I = 208
(4 3 2), 2θ 78.87, I = 174
(3 4 1), 2θ 65.39, I = 172
(1 4 2), 2θ 69.13, I = 155
(3 1 1), 2θ 43.79, I = 155
(4 2 0), 2θ 53.65, I = 150

Structural model:
Unit cell a=7.639 b=7.639 c=3.997 alpha=90.00 beta=90.00 gamma=90.00
Space group P4_2/n (No. 86, origin choice 2)
Symmetry-distinct sites (fractional):
Y1 0.250 0.250 0.250
B1 0.029 0.908 0.139
Ir1 0.090 0.640 0.137

Calculated powder diffractogram
Compound: ZrB4Ir3
Radiation: Cu Kα
Structure: a DFT-relaxed cell (GGA-PBE, the Materials Project)

Largest 12 diffraction maxima, by intensity, 2θ = 10–80°:
(1 1 1), 2θ 34.55, I = 1000
(2 0 1), 2θ 37.21, I = 857
(3 1 0), 2θ 49.66, I = 409
(3 0 0), 2θ 40.90, I = 296
(1 2 0), 2θ 35.90, I = 291
(2 0 0), 2θ 26.94, I = 270
(1 3 1), 2θ 56.48, I = 255
(3 1 2), 2θ 74.50, I = 246
(2 3 1), 2θ 67.08, I = 237
(5 0 1), 2θ 76.90, I = 234
(1 1 0), 2θ 23.28, I = 213
(0 0 2), 2θ 51.69, I = 181

Structural model:
Unit cell a=7.6430 b=7.6430 c=3.5370 alpha=90.00 beta=90.00 gamma=120.00
Space group P6_3/m (No. 176)
Symmetry-distinct sites (fractional):
Zr1 0.3333 0.6667 0.2500
B1 0.0000 0.0000 0.0000
B2 0.0513 0.4477 0.7500
Ir1 0.0728 0.7428 0.7500

Calculated powder diffractogram
Compound: Zr4B15Ir12
Radiation: Cu Kα
Structure: a DFT-relaxed cell (GGA-PBE, the Materials Project)

Largest 12 diffraction maxima, by intensity, 2θ = 10–80°:
(1 2 0), 2θ 34.60, I = 1000
(1 -2 2), 2θ 37.29, I = 860
(0 4 -2), 2θ 50.02, I = 413
(0 2 -2), 2θ 27.12, I = 286
(0 3 3), 2θ 41.19, I = 284
(0 1 5), 2θ 36.14, I = 279
(1 1 7), 2θ 56.76, I = 245
(1 5 5), 2θ 77.39, I = 229
(0 1 3), 2θ 23.43, I = 218
(1 3 -7), 2θ 67.46, I = 213
(1 1 -5), 2θ 44.51, I = 202
(2 0 0), 2θ 51.51, I = 185

Structural model:
Unit cell a=3.549 b=7.594 c=13.147 alpha=90.03 beta=90.08 gamma=90.04
Space group P-1 (No. 2)
Symmetry-distinct sites (fractional):
Zr1 0.249 0.001 0.335
Zr2 0.250 0.499 0.831
B1 0.000 0.000 0.000
B2 0.236 0.079 0.525
B3 0.239 0.673 0.278
B4 0.241 0.749 0.697
B5 0.247 0.174 0.775
B6 0.249 0.249 0.200
B7 0.250 0.576 0.025
B8 0.500 0.000 0.000
B9 0.500 0.500 0.500
Ir1 0.249 0.293 0.037
Ir2 0.249 0.909 0.836
Ir3 0.252 0.800 0.128
Ir4 0.260 0.301 0.628
Ir5 0.260 0.408 0.336
Ir6 0.264 0.790 0.535

Calculated powder diffractogram
Compound: KB6
Radiation: Cu Kα
Structure: a DFT-relaxed cell (GGA-PBE, the Materials Project)

Largest 10 diffraction maxima, by intensity, 2θ = 10–80°:
(1 1 0), 2θ 29.91, I = 1000
(1 1 1), 2θ 36.85, I = 504
(2 1 0), 2θ 48.16, I = 370
(2 2 1), 2θ 66.37, I = 329
(2 0 0), 2θ 42.81, I = 263
(3 1 0), 2θ 70.48, I = 227
(3 1 1), 2θ 74.48, I = 69
(2 1 1), 2θ 53.09, I = 58
(2 2 0), 2θ 62.14, I = 44
(1 0 0), 2θ 21.03, I = 44

Structural model:
Unit cell a=4.225 b=4.225 c=4.225 alpha=90.00 beta=90.00 gamma=90.00
Space group Pm-3m (No. 221)
Symmetry-distinct sites (fractional):
K1 0.000 0.000 0.000
B1 0.199 0.500 0.500

Calculated powder diffractogram
Compound: K2La2B2O7
Radiation: Cu Kα
Structure: a DFT-relaxed cell (GGA-PBE, the Materials Project)

Largest 12 diffraction maxima, by intensity, 2θ = 10–80°:
(1 1 -3), 2θ 28.13, I = 1000
(2 0 2), 2θ 30.62, I = 959
(4 0 -2), 2θ 31.20, I = 876
(2 1 1), 2θ 26.61, I = 617
(2 2 -1), 2θ 30.80, I = 586
(2 1 -3), 2θ 28.30, I = 520
(0 3 2), 2θ 44.46, I = 453
(1 2 0), 2θ 27.90, I = 446
(3 0 -2), 2θ 24.08, I = 367
(4 2 -2), 2θ 41.36, I = 338
(2 0 -4), 2θ 32.83, I = 329
(5 1 -5), 2θ 49.61, I = 319

Structural model:
Unit cell a=11.505 b=6.733 c=10.916 alpha=90.00 beta=117.12 gamma=90.00
Space group P2_1/c (No. 14)
Symmetry-distinct sites (fractional):
K1 0.032 0.062 0.265
K2 0.118 0.745 0.055
La1 0.322 0.082 0.915
La2 0.481 0.546 0.180
B1 0.195 0.247 0.088
B2 0.304 0.654 0.854
O1 0.122 0.150 0.964
O2 0.142 0.153 0.662
O3 0.199 0.746 0.859
O4 0.333 0.243 0.139
O5 0.351 0.033 0.412
O6 0.366 0.748 0.287
O7 0.473 0.620 0.598